# 1
The following is a computed powder XRD pattern of Li7Mn2Co3O12. It was derived from the GGA+U geometry in Alexandria, using Cu Kα.
Neutral-atom scattering factors, no anomalous dispersion.

Principal peaks in the range 15 to 90 degrees two-theta, sorted by position:
2θ (°), I (rel.)
18.35, 100
33.01, 6
36.09, 24
36.28, 13
43.54, 56
44.10, 26
47.99, 8
57.31, 10
62.63, 7
63.43, 14
63.94, 21
80.90, 6

Atomic structure:
```
data_Li7Mn2Co3O12
_symmetry_space_group_name_H-M 'P 1 m 1'
_symmetry_Int_Tables_number 6
_symmetry_space_group_name_Hall 'P -2y'
_cell_length_a 8.215
_cell_length_b 2.914
_cell_length_c 9.762
_cell_angle_alpha 90.00
_cell_angle_beta 114.26
_cell_angle_gamma 90.00
loop_
_atom_site_label
_atom_site_fract_x
_atom_site_fract_y
_atom_site_fract_z
Li1 0.000 0.000 0.000
Li2 0.012 0.500 0.515
Li3 0.154 0.000 0.321
Li4 0.299 0.500 0.144
Li5 0.488 0.000 0.993
Li6 0.683 0.500 0.846
Li7 0.843 0.000 0.677
Mn1 0.494 0.500 0.505
Mn2 0.839 0.500 0.166
Co1 0.149 0.500 0.840
Co2 0.333 0.000 0.672
Co3 0.661 0.000 0.331
O1 0.063 0.500 0.170
O2 0.104 0.000 0.675
O3 0.247 0.000 0.991
O4 0.269 0.500 0.523
O5 0.404 0.500 0.814
O6 0.419 0.000 0.358
O7 0.565 0.000 0.653
O8 0.600 0.500 0.184
O9 0.723 0.500 0.490
O10 0.755 0.000 0.023
O11 0.903 0.000 0.320
O12 0.921 0.500 0.827
```

***

# 2
The following is a computed powder XRD pattern of Li7Mn4CoO12. It was derived from the GGA+U geometry in Alexandria, using Cu Kα.
Neutral-atom scattering factors, no anomalous dispersion.

Principal peaks in the range 15 to 90 degrees two-theta, sorted by position:
2θ (°), I (rel.)
18.34, 100
35.10, 16
36.20, 24
42.28, 32
44.02, 57
47.32, 10
58.02, 9
62.55, 16
62.80, 16
63.69, 7
64.33, 8
80.03, 7

Atomic structure:
```
data_Li7Mn4CoO12
_symmetry_space_group_name_H-M 'C 1 2 1'
_symmetry_Int_Tables_number 5
_symmetry_space_group_name_Hall 'C 2y'
_cell_length_a 5.167
_cell_length_b 8.689
_cell_length_c 9.774
_cell_angle_alpha 90.00
_cell_angle_beta 98.22
_cell_angle_gamma 90.00
loop_
_atom_site_label
_atom_site_fract_x
_atom_site_fract_y
_atom_site_fract_z
Li1 0.000 0.000 0.000
Li2 0.235 0.164 0.246
Li3 0.243 0.836 0.248
Li4 0.247 0.500 0.245
Mn1 0.000 0.333 0.000
Mn2 0.000 0.500 0.500
Mn3 0.000 0.668 0.000
Mn4 0.000 0.834 0.500
Co1 0.000 0.167 0.500
O1 0.103 0.998 0.380
O2 0.105 0.336 0.383
O3 0.108 0.500 0.888
O4 0.116 0.667 0.386
O5 0.151 0.179 0.890
O6 0.152 0.821 0.890
```

***

# 3
The following is a computed powder XRD pattern of Li7Mn4CoO12. It was derived from the GGA+U geometry in Alexandria, using Cu Kα.
Neutral-atom scattering factors, no anomalous dispersion.

Principal peaks in the range 15 to 90 degrees two-theta, sorted by position:
2θ (°), I (rel.)
18.36, 100
34.74, 18
36.26, 23
42.06, 32
44.06, 57
47.46, 9
58.05, 10
62.36, 16
62.72, 16
63.35, 8
64.78, 8
80.30, 7

Atomic structure:
```
data_Li7Mn4CoO12
_symmetry_space_group_name_H-M 'C 1 2/m 1'
_symmetry_Int_Tables_number 12
_symmetry_space_group_name_Hall '-C 2y'
_cell_length_a 15.668
_cell_length_b 2.878
_cell_length_c 11.746
_cell_angle_alpha 90.00
_cell_angle_beta 124.64
_cell_angle_gamma 90.00
loop_
_atom_site_label
_atom_site_fract_x
_atom_site_fract_y
_atom_site_fract_z
Li1 0.000 0.000 0.000
Li2 0.004 0.000 0.758
Li3 0.153 0.500 0.241
Li4 0.168 0.500 0.745
Mn1 0.162 0.500 0.998
Mn2 0.163 0.500 0.497
Co1 0.000 0.000 0.500
O1 0.007 0.500 0.615
O2 0.020 0.500 0.886
O3 0.159 0.000 0.379
O4 0.169 0.000 0.113
O5 0.170 0.000 0.615
O6 0.176 0.000 0.894
```

***

# 4
The following is a computed powder XRD pattern of Li7Mn4CoO12. It was derived from the GGA+U geometry in Alexandria, using Cu Kα.
Neutral-atom scattering factors, no anomalous dispersion.

Principal peaks in the range 15 to 90 degrees two-theta, sorted by position:
2θ (°), I (rel.)
18.35, 100
21.10, 7
34.67, 17
36.38, 24
41.62, 32
44.32, 55
58.39, 9
62.34, 15
62.48, 16
64.09, 7
64.82, 12
80.06, 7

Atomic structure:
```
data_Li7Mn4CoO12
_symmetry_space_group_name_H-M 'P 1'
_symmetry_Int_Tables_number 1
_symmetry_space_group_name_Hall 'P 1'
_cell_length_a 5.041
_cell_length_b 5.812
_cell_length_c 7.949
_cell_angle_alpha 79.30
_cell_angle_beta 80.48
_cell_angle_gamma 73.27
loop_
_atom_site_label
_atom_site_fract_x
_atom_site_fract_y
_atom_site_fract_z
Li1 0.000 0.000 0.000
Li2 0.005 0.168 0.319
Li3 0.042 0.330 0.623
Li4 0.474 0.836 0.176
Li5 0.509 0.165 0.821
Li6 0.523 0.498 0.477
Li7 0.990 0.672 0.316
Mn1 0.004 0.495 0.997
Mn2 0.019 0.836 0.644
Mn3 0.503 0.330 0.165
Mn4 0.510 0.666 0.816
Co1 0.528 0.001 0.477
O1 0.247 0.646 0.079
O2 0.257 0.846 0.430
O3 0.257 0.981 0.736
O4 0.259 0.187 0.070
O5 0.264 0.521 0.732
O6 0.296 0.313 0.390
O7 0.731 0.496 0.233
O8 0.732 0.350 0.928
O9 0.734 0.016 0.233
O10 0.762 0.140 0.574
O11 0.780 0.686 0.562
O12 0.783 0.811 0.877
```

***

# 5
The following is a computed powder XRD pattern of Li7Mn4CoO12. It was derived from the GGA+U geometry in Alexandria, using Cu Kα.
Neutral-atom scattering factors, no anomalous dispersion.

Principal peaks in the range 15 to 90 degrees two-theta, sorted by position:
2θ (°), I (rel.)
18.17, 100
34.56, 14
36.15, 12
36.31, 13
41.21, 30
44.14, 53
58.07, 8
61.45, 7
61.79, 7
62.12, 7
62.53, 7
63.95, 7

Atomic structure:
```
data_Li7Mn4CoO12
_symmetry_space_group_name_H-M 'P 1'
_symmetry_Int_Tables_number 1
_symmetry_space_group_name_Hall 'P 1'
_cell_length_a 2.977
_cell_length_b 8.212
_cell_length_c 9.929
_cell_angle_alpha 66.04
_cell_angle_beta 86.53
_cell_angle_gamma 89.94
loop_
_atom_site_label
_atom_site_fract_x
_atom_site_fract_y
_atom_site_fract_z
Li1 0.000 0.000 0.000
Li2 0.003 0.495 0.993
Li3 0.062 0.657 0.670
Li4 0.473 0.190 0.138
Li5 0.527 0.812 0.828
Li6 0.593 0.492 0.512
Li7 0.949 0.341 0.298
Mn1 0.065 0.161 0.665
Mn2 0.476 0.661 0.152
Mn3 0.545 0.994 0.494
Mn4 0.995 0.837 0.319
Co1 0.530 0.348 0.837
O1 0.000 0.071 0.333
O2 0.003 0.249 0.980
O3 0.003 0.739 0.012
O4 0.061 0.390 0.665
O5 0.081 0.928 0.656
O6 0.461 0.901 0.161
O7 0.478 0.434 0.160
O8 0.535 0.574 0.818
O9 0.538 0.093 0.804
O10 0.546 0.759 0.484
O11 0.589 0.226 0.518
O12 0.954 0.602 0.301
```

***

# 6
The following is a computed powder XRD pattern of Li7Mn4CoO12. It was derived from the GGA+U geometry in Alexandria, using Cu Kα.
Neutral-atom scattering factors, no anomalous dispersion.

Principal peaks in the range 15 to 90 degrees two-theta, sorted by position:
2θ (°), I (rel.)
18.28, 100
34.72, 14
36.40, 24
37.06, 6
41.85, 29
44.18, 52
47.36, 8
58.09, 9
62.48, 28
63.42, 7
65.05, 12
80.42, 6

Atomic structure:
```
data_Li7Mn4CoO12
_symmetry_space_group_name_H-M 'P 1 m 1'
_symmetry_Int_Tables_number 6
_symmetry_space_group_name_Hall 'P -2y'
_cell_length_a 5.218
_cell_length_b 2.867
_cell_length_c 14.568
_cell_angle_alpha 90.00
_cell_angle_beta 92.16
_cell_angle_gamma 90.00
loop_
_atom_site_label
_atom_site_fract_x
_atom_site_fract_y
_atom_site_fract_z
Li1 0.000 0.000 0.000
Li2 0.005 0.000 0.498
Li3 0.121 0.500 0.849
Li4 0.349 0.000 0.159
Li5 0.479 0.500 0.501
Li6 0.638 0.000 0.842
Li7 0.889 0.500 0.148
Mn1 0.313 0.000 0.668
Mn2 0.499 0.500 0.001
Mn3 0.672 0.000 0.331
Mn4 0.813 0.500 0.666
Co1 0.171 0.500 0.332
O1 0.019 0.000 0.258
O2 0.174 0.500 0.587
O3 0.206 0.500 0.078
O4 0.324 0.000 0.407
O5 0.340 0.000 0.927
O6 0.459 0.500 0.742
O7 0.489 0.500 0.265
O8 0.658 0.000 0.077
O9 0.677 0.000 0.585
O10 0.790 0.500 0.924
O11 0.851 0.500 0.401
O12 0.957 0.000 0.744
```